1.
Diffraction record for KNa9Hg4. The powder XRD pattern is computed, not measured: it uses a crystal structure in Alexandria, relaxed with GGA-PBE and Cu Kα (weighted mean of Kα1 and Kα2).
Peak positions follow from Bragg's law for the DFT cell and can differ from measured ones.

Largest 8 diffraction maxima, most intense first, 5° ≤ 2θ ≤ 70°:
d (Å)  Rel. int.
4.602  100
2.615  65
2.577  41
5.386  29
3.407  28
2.539  26
3.155  24
2.127  23

Lattice parameters (Å, degrees): 10.8915 10.8915 10.8915 120.72 120.72 88.76
Fractional coordinates of all 28 atoms:
K (0.2500, 0.2500, 0.0000)
K (0.7500, 0.7500, 0.0000)
Na (0.0000, 0.5000, 0.5000)
Na (0.0545, 0.5545, 0.2279)
Na (0.0711, 0.8008, 0.8719)
Na (0.1734, 0.9455, 0.5000)
Na (0.1992, 0.0711, 0.2702)
Na (0.3008, 0.5711, 0.8719)
Na (0.3266, 0.8266, 0.7721)
Na (0.4289, 0.3008, 0.7298)
Na (0.4455, 0.6734, 0.5000)
Na (0.5000, 0.0000, 0.5000)
Na (0.5545, 0.3266, 0.5000)
Na (0.5711, 0.6992, 0.2702)
Na (0.6734, 0.1734, 0.2279)
Na (0.6992, 0.4289, 0.1281)
Na (0.8008, 0.9289, 0.7298)
Na (0.8266, 0.0545, 0.5000)
Na (0.9289, 0.1992, 0.1281)
Na (0.9455, 0.4455, 0.7721)
Hg (0.0577, 0.2213, 0.5000)
Hg (0.2213, 0.7213, 0.1636)
Hg (0.2787, 0.4423, 0.5000)
Hg (0.4423, 0.9423, 0.1636)
Hg (0.5577, 0.0577, 0.8364)
Hg (0.7213, 0.5577, 0.5000)
Hg (0.7787, 0.2787, 0.8364)
Hg (0.9423, 0.7787, 0.5000)


2.
Diffraction record for Sr4In5Au6. The powder XRD pattern is computed, not measured: it uses a crystal structure in Alexandria, relaxed with GGA-PBE and Cu Kα (weighted mean of Kα1 and Kα2).
Peak positions follow from Bragg's law for the DFT cell and can differ from measured ones.

Largest 8 diffraction maxima, most intense first, 5° ≤ 2θ ≤ 70°:
d (Å)  Rel. int.
2.741  100
2.263  76
2.192  76
3.914  75
2.033  58
3.748  50
2.338  48
3.045  37

Lattice parameters (Å, degrees): 11.1717 11.1717 16.7684 90.00 90.00 156.63
Fractional coordinates of all 30 atoms:
Sr (0.0092, 0.9908, 0.5000)
Sr (0.0358, 0.9642, 0.7614)
Sr (0.1624, 0.8376, 0.2919)
Sr (0.1841, 0.8159, 0.9334)
Sr (0.8159, 0.1841, 0.4334)
Sr (0.8376, 0.1624, 0.7919)
Sr (0.9642, 0.0358, 0.2614)
Sr (0.9908, 0.0092, 0.0000)
In (0.1528, 0.8472, 0.6165)
In (0.3046, 0.6954, 0.6032)
In (0.3380, 0.6620, 0.2660)
In (0.3599, 0.6401, 0.9652)
In (0.4468, 0.5532, 0.6619)
In (0.5532, 0.4468, 0.1619)
In (0.6401, 0.3599, 0.4652)
In (0.6620, 0.3380, 0.7660)
In (0.6954, 0.3046, 0.1032)
In (0.8472, 0.1528, 0.1165)
Au (0.1165, 0.8835, 0.1090)
Au (0.2180, 0.7820, 0.4740)
Au (0.2359, 0.7641, 0.7468)
Au (0.4245, 0.5755, 0.1215)
Au (0.4266, 0.5734, 0.3945)
Au (0.4464, 0.5536, 0.8401)
Au (0.5536, 0.4464, 0.3401)
Au (0.5734, 0.4266, 0.8945)
Au (0.5755, 0.4245, 0.6215)
Au (0.7641, 0.2359, 0.2468)
Au (0.7820, 0.2180, 0.9740)
Au (0.8835, 0.1165, 0.6090)


3.
Diffraction record for CeP2N2O9. The powder XRD pattern is computed, not measured: it uses a crystal structure in Alexandria, relaxed with GGA-PBE and Cu Kα (weighted mean of Kα1 and Kα2).
Peak positions follow from Bragg's law for the DFT cell and can differ from measured ones.

Largest 8 diffraction maxima, most intense first, 5° ≤ 2θ ≤ 70°:
d (Å)  Rel. int.
6.374  100
3.382  38
2.645  26
3.319  23
4.274  21
2.987  21
1.774  19
2.023  14

Lattice parameters (Å, degrees): 10.6577 10.6577 10.6577 143.00 143.00 53.33
Fractional coordinates of all 28 atoms:
Ce (0.3750, 0.6250, 0.7500)
Ce (0.6250, 0.3750, 0.2500)
P (0.2061, 0.4561, 0.7500)
P (0.4561, 0.2061, 0.2500)
P (0.5439, 0.7939, 0.7500)
P (0.7939, 0.5439, 0.2500)
N (0.0000, 0.0000, 0.0000)
N (0.0000, 0.0000, 0.5000)
N (0.0000, 0.5000, 0.0000)
N (0.5000, 0.0000, 0.5000)
O (0.0242, 0.5920, 0.4322)
O (0.1250, 0.8750, 0.2500)
O (0.2583, 0.3301, 0.5718)
O (0.2583, 0.6865, 0.9282)
O (0.3135, 0.7417, 0.5718)
O (0.3301, 0.2583, 0.0718)
O (0.3401, 0.4080, 0.9322)
O (0.4080, 0.3401, 0.4322)
O (0.4080, 0.9758, 0.0678)
O (0.5920, 0.0242, 0.9322)
O (0.5920, 0.6599, 0.5678)
O (0.6599, 0.5920, 0.0678)
O (0.6699, 0.7417, 0.9282)
O (0.6865, 0.2583, 0.4282)
O (0.7417, 0.3135, 0.0718)
O (0.7417, 0.6699, 0.4282)
O (0.8750, 0.1250, 0.7500)
O (0.9758, 0.4080, 0.5678)